No. 1
This entry pairs a crystal structure of Er7CoBr12 with its simulated powder X-ray diffraction pattern. Radiation: Cu Kα (weighted mean of Kα1 and Kα2). Structure: the GGA-PBE geometry in Alexandria.

Largest 12 diffraction maxima, by angle, 10° ≤ 2θ ≤ 90°:
two_theta, I/Imax
11.1, 22
12.1, 51
28.7, 11
30.8, 100
35.4, 17
43.5, 35
44.6, 34
55.2, 16
64.1, 11
71.9, 9
73.6, 13
81.5, 9

Structure:
```
Er7CoBr12
1.0
7.319 4.225 3.442
-7.319 4.225 3.442
0.000 -8.451 3.442
Er Co Br
7 1 12
Direct
0.000 0.000 0.000 Er
0.202 0.480 0.403 Er
0.403 0.202 0.480 Er
0.480 0.403 0.202 Er
0.520 0.597 0.798 Er
0.597 0.798 0.520 Er
0.798 0.520 0.597 Er
0.500 0.500 0.500 Co
0.037 0.115 0.332 Br
0.115 0.332 0.037 Br
0.174 0.569 0.720 Br
0.280 0.826 0.431 Br
0.332 0.037 0.115 Br
0.431 0.280 0.826 Br
0.569 0.720 0.174 Br
0.668 0.963 0.885 Br
0.720 0.174 0.569 Br
0.826 0.431 0.280 Br
0.885 0.668 0.963 Br
0.963 0.885 0.668 Br
```


No. 2
This entry pairs a crystal structure of KMnInBr6 with its simulated powder X-ray diffraction pattern. Radiation: Cu Kα (weighted mean of Kα1 and Kα2). Structure: the GGA-PBE geometry in Alexandria.

Largest 12 diffraction maxima, by angle, 10° ≤ 2θ ≤ 90°:
two_theta, I/Imax
12.3, 66
14.7, 18
19.2, 40
28.5, 100
35.9, 77
40.1, 10
41.6, 16
45.1, 33
46.0, 28
47.0, 10
57.7, 14
59.0, 13

Structure:
```
KMnInBr6
1.0
6.959 0.000 0.000
-3.480 6.027 0.000
0.000 0.000 14.378
K Mn In Br
2 2 2 12
Direct
0.000 0.000 0.000 K
0.000 0.000 0.500 K
0.333 0.667 0.250 Mn
0.667 0.333 0.750 Mn
0.333 0.667 0.750 In
0.667 0.333 0.250 In
0.036 0.386 0.149 Br
0.036 0.650 0.351 Br
0.350 0.386 0.351 Br
0.350 0.964 0.149 Br
0.386 0.036 0.649 Br
0.386 0.350 0.851 Br
0.614 0.650 0.149 Br
0.614 0.964 0.351 Br
0.650 0.036 0.851 Br
0.650 0.614 0.649 Br
0.964 0.350 0.649 Br
0.964 0.614 0.851 Br
```


No. 3
This entry pairs a crystal structure of ZrNb2Al with its simulated powder X-ray diffraction pattern. Radiation: Cu Kα (weighted mean of Kα1 and Kα2). Structure: the GGA-PBE geometry in Alexandria.

Largest 12 diffraction maxima, by angle, 10° ≤ 2θ ≤ 90°:
two_theta, I/Imax
24.4, 10
34.9, 42
35.7, 100
39.9, 69
42.0, 31
52.8, 16
55.7, 21
60.2, 21
64.9, 13
69.7, 13
72.7, 12
80.3, 14

Structure:
```
ZrNb2Al
1.0
4.304 0.000 0.000
0.000 3.466 0.000
-2.142 0.000 10.293
Zr Nb Al
2 4 2
Direct
0.196 0.250 0.394 Zr
0.804 0.750 0.606 Zr
0.063 0.750 0.126 Nb
0.443 0.750 0.886 Nb
0.557 0.250 0.114 Nb
0.937 0.250 0.874 Nb
0.339 0.250 0.677 Al
0.661 0.750 0.323 Al
```


No. 4
This entry pairs a crystal structure of Cu3As2O8 with its simulated powder X-ray diffraction pattern. Radiation: Cu Kα (weighted mean of Kα1 and Kα2). Structure: the GGA-PBE geometry in Alexandria.

Largest 12 diffraction maxima, by angle, 10° ≤ 2θ ≤ 90°:
two_theta, I/Imax
26.4, 69
26.6, 44
30.2, 38
30.7, 100
31.0, 38
36.0, 48
37.3, 57
44.9, 23
56.6, 30
60.0, 35
62.9, 18
66.6, 38

Structure:
```
Cu3As2O8
1.0
6.266 0.000 0.000
0.000 7.923 0.000
-2.196 0.000 6.274
Cu As O
6 4 16
Direct
0.000 0.000 0.000 Cu
0.000 0.500 0.500 Cu
0.269 0.237 0.395 Cu
0.269 0.263 0.895 Cu
0.731 0.737 0.105 Cu
0.731 0.763 0.605 Cu
0.259 0.614 0.150 As
0.259 0.886 0.650 As
0.741 0.114 0.350 As
0.741 0.386 0.850 As
0.032 0.742 0.566 O
0.032 0.758 0.066 O
0.233 0.010 0.859 O
0.233 0.490 0.359 O
0.249 0.503 0.927 O
0.249 0.997 0.427 O
0.494 0.227 0.251 O
0.494 0.273 0.751 O
0.506 0.727 0.249 O
0.506 0.773 0.749 O
0.751 0.003 0.573 O
0.751 0.497 0.073 O
0.767 0.510 0.641 O
0.767 0.990 0.141 O
0.968 0.242 0.934 O
0.968 0.258 0.434 O
```


No. 5
This entry pairs a crystal structure of Pu2MnAs3 with its simulated powder X-ray diffraction pattern. Radiation: Cu Kα (weighted mean of Kα1 and Kα2). Structure: the GGA-PBE geometry in Alexandria.

Largest 12 diffraction maxima, by angle, 10° ≤ 2θ ≤ 90°:
two_theta, I/Imax
15.6, 15
17.1, 14
27.0, 24
28.1, 24
30.8, 61
31.4, 31
32.5, 99
42.6, 14
45.3, 100
55.8, 23
58.0, 16
73.7, 23

Structure:
```
Pu2MnAs3
1.0
-2.002 2.906 5.693
2.002 -2.906 5.693
2.002 2.906 -5.693
Pu Mn As
2 1 3
Direct
0.176 0.176 0.000 Pu
0.824 0.824 0.000 Pu
0.500 0.500 0.000 Mn
0.000 0.500 0.500 As
0.359 0.859 0.500 As
0.641 0.141 0.500 As
```


No. 6
This entry pairs a crystal structure of K3B6ClO10 with its simulated powder X-ray diffraction pattern. Radiation: Cu Kα (weighted mean of Kα1 and Kα2). Structure: the GGA-PBE geometry in Alexandria.

Largest 12 diffraction maxima, by angle, 10° ≤ 2θ ≤ 90°:
two_theta, I/Imax
14.0, 14
28.3, 100
28.6, 40
29.6, 17
33.4, 13
35.3, 26
38.1, 8
42.2, 23
45.1, 26
45.8, 23
56.8, 8
59.1, 11

Structure:
```
K3B6ClO10
1.0
5.089 2.938 3.015
-5.089 2.938 3.015
0.000 -5.876 3.015
K B Cl O
3 6 1 10
Direct
0.179 0.179 0.643 K
0.179 0.643 0.179 K
0.643 0.179 0.179 K
0.079 0.630 0.630 B
0.488 0.751 0.751 B
0.630 0.079 0.630 B
0.630 0.630 0.079 B
0.751 0.488 0.751 B
0.751 0.751 0.488 B
0.134 0.134 0.134 Cl
0.285 0.622 0.622 O
0.509 0.743 0.975 O
0.509 0.975 0.743 O
0.622 0.285 0.622 O
0.622 0.622 0.285 O
0.669 0.669 0.669 O
0.743 0.509 0.975 O
0.743 0.975 0.509 O
0.975 0.509 0.743 O
0.975 0.743 0.509 O
```